Structure and calculated PXRD pattern of Ho2AsH (DFT lattice parameters and positions (PBE); Cu Kα (λ = 1.5418 Å)).
No peak broadening, texture or thermal motion is included.

Structural model:
```
Ho2AsH
1.0
3.923 0.000 0.000
-1.961 3.397 0.000
0.000 0.000 6.315
Ho As H
2 1 1
Direct
0.000 0.000 0.000
0.333 0.667 0.538
0.667 0.333 0.273
0.333 0.667 0.892
```

Main lines, most intense first (10 to 80 degrees two-theta):
- 2θ 29.9, rel. 1000
- 2θ 38.9, rel. 336
- 2θ 46.3, rel. 281
- 2θ 51.0, rel. 183
- 2θ 56.1, rel. 171
- 2θ 75.6, rel. 142
- 2θ 28.3, rel. 125
- 2θ 55.1, rel. 119
- 2θ 77.6, rel. 101
- 2θ 62.0, rel. 86
- 2θ 71.3, rel. 67
- 2θ 26.2, rel. 58

=====

Structure and calculated PXRD pattern of HoNi2AsH (DFT lattice parameters and positions (PBE); Cu Kα (λ = 1.5418 Å)).
No peak broadening, texture or thermal motion is included.

Structural model:
```
HoNi2AsH
1.0
1.917 -5.080 0.000
1.917 5.080 0.000
0.000 0.000 6.739
Ho Ni As H
2 4 2 2
Direct
0.062 0.938 0.750
0.938 0.062 0.250
0.343 0.657 0.558
0.343 0.657 0.942
0.657 0.343 0.058
0.657 0.343 0.442
0.221 0.779 0.250
0.779 0.221 0.750
0.500 0.500 0.000
0.500 0.500 0.500
```

Main lines, most intense first (10 to 80 degrees two-theta):
- 2θ 37.9, rel. 1000
- 2θ 36.6, rel. 653
- 2θ 54.5, rel. 275
- 2θ 47.4, rel. 222
- 2θ 62.2, rel. 174
- 2θ 35.4, rel. 171
- 2θ 26.5, rel. 154
- 2θ 44.1, rel. 149
- 2θ 24.8, rel. 149
- 2θ 69.2, rel. 109
- 2θ 66.7, rel. 109
- 2θ 44.7, rel. 98

=====

Structure and calculated PXRD pattern of Ho8Te4As3H (DFT lattice parameters and positions (PBE); Cu Kα (λ = 1.5418 Å)).
No peak broadening, texture or thermal motion is included.

Structural model:
```
Ho8Te4As3H
1.0
4.124 2.381 7.002
-4.124 2.381 7.002
0.000 -4.762 7.002
Ho Te As H
8 4 3 1
Direct
0.238 0.238 0.238
0.242 0.737 0.737
0.263 0.263 0.758
0.263 0.758 0.263
0.737 0.242 0.737
0.737 0.737 0.242
0.758 0.263 0.263
0.762 0.762 0.762
0.000 0.000 0.000
0.000 0.500 0.500
0.500 0.000 0.500
0.500 0.500 0.000
0.000 0.000 0.500
0.000 0.500 0.000
0.500 0.000 0.000
0.500 0.500 0.500
```

Main lines, most intense first (10 to 80 degrees two-theta):
- 2θ 30.3, rel. 1000
- 2θ 43.9, rel. 380
- 2θ 42.7, rel. 332
- 2θ 54.3, rel. 193
- 2θ 72.3, rel. 164
- 2θ 70.6, rel. 112
- 2θ 26.4, rel. 111
- 2θ 79.9, rel. 106
- 2θ 62.9, rel. 105
- 2θ 32.9, rel. 104
- 2θ 59.8, rel. 79
- 2θ 63.2, rel. 53

=====

Structure and calculated PXRD pattern of As2H2I3 (DFT lattice parameters and positions (PBE); Cu Kα (λ = 1.5418 Å)).
No peak broadening, texture or thermal motion is included.

Structural model:
```
As2H2I3
1.0
4.271 0.000 0.000
0.746 6.292 0.000
1.408 2.562 8.470
As H I
2 2 3
Direct
0.204 0.049 0.070
0.796 0.951 0.930
0.199 0.826 0.201
0.801 0.174 0.799
0.114 0.697 0.750
0.500 0.500 0.500
0.886 0.303 0.250
```

Main lines, most intense first (10 to 80 degrees two-theta):
- 2θ 20.4, rel. 1000
- 2θ 24.1, rel. 461
- 2θ 27.9, rel. 286
- 2θ 33.2, rel. 275
- 2θ 22.4, rel. 210
- 2θ 37.9, rel. 208
- 2θ 35.3, rel. 167
- 2θ 30.8, rel. 163
- 2θ 49.0, rel. 162
- 2θ 31.1, rel. 147
- 2θ 40.7, rel. 139
- 2θ 46.2, rel. 132

=====

Structure and calculated PXRD pattern of As2H2I (DFT lattice parameters and positions (PBE); Cu Kα (λ = 1.5418 Å)).
No peak broadening, texture or thermal motion is included.

Structural model:
```
As2H2I
1.0
4.469 0.000 0.000
0.264 5.891 0.000
0.779 1.232 10.129
As H I
4 4 2
Direct
0.032 0.336 0.087
0.311 0.641 0.499
0.689 0.359 0.501
0.968 0.664 0.913
0.230 0.473 0.164
0.312 0.243 0.010
0.688 0.757 0.990
0.770 0.527 0.836
0.408 0.101 0.693
0.592 0.899 0.307
```

Main lines, most intense first (10 to 80 degrees two-theta):
- 2θ 21.8, rel. 1000
- 2θ 21.2, rel. 568
- 2θ 32.2, rel. 427
- 2θ 27.2, rel. 299
- 2θ 33.9, rel. 277
- 2θ 44.7, rel. 251
- 2θ 37.9, rel. 213
- 2θ 32.3, rel. 203
- 2θ 27.6, rel. 181
- 2θ 32.9, rel. 173
- 2θ 24.7, rel. 143
- 2θ 36.1, rel. 141

=====

Structure and calculated PXRD pattern of InAs2H (DFT lattice parameters and positions (PBE); Cu Kα (λ = 1.5418 Å)).
No peak broadening, texture or thermal motion is included.

Structural model:
```
InAs2H
1.0
4.385 0.000 0.000
-2.188 5.561 0.000
-0.011 -2.525 7.774
In As H
2 4 2
Direct
0.000 0.000 0.000
0.273 0.555 0.586
0.084 0.063 0.411
0.296 0.492 0.176
0.355 0.705 0.951
0.924 0.851 0.635
0.449 0.090 0.430
0.636 0.468 0.162
```

Main lines, most intense first (10 to 80 degrees two-theta):
- 2θ 21.9, rel. 1000
- 2θ 32.6, rel. 726
- 2θ 44.7, rel. 467
- 2θ 33.5, rel. 433
- 2θ 22.9, rel. 310
- 2θ 17.1, rel. 292
- 2θ 41.2, rel. 286
- 2θ 41.8, rel. 280
- 2θ 45.8, rel. 252
- 2θ 16.8, rel. 216
- 2θ 54.1, rel. 194
- 2θ 29.9, rel. 161

=====

Structure and calculated PXRD pattern of InAsH2O5 (DFT lattice parameters and positions (PBE); Cu Kα (λ = 1.5418 Å)).
No peak broadening, texture or thermal motion is included.

Structural model:
```
InAsH2O5
1.0
5.631 0.000 0.000
-1.690 5.505 0.000
-0.535 -1.180 6.729
In As H O
2 2 4 10
Direct
0.137 0.226 0.218
0.863 0.774 0.782
0.238 0.380 0.741
0.762 0.620 0.259
0.398 0.862 0.254
0.423 0.874 0.787
0.577 0.126 0.213
0.602 0.138 0.746
0.063 0.262 0.517
0.138 0.153 0.889
0.185 0.647 0.848
0.421 0.042 0.267
0.444 0.569 0.255
0.556 0.431 0.745
0.579 0.958 0.733
0.815 0.353 0.152
0.862 0.847 0.111
0.937 0.738 0.483
```

Main lines, most intense first (10 to 80 degrees two-theta):
- 2θ 19.4, rel. 1000
- 2θ 26.5, rel. 911
- 2θ 32.5, rel. 583
- 2θ 32.1, rel. 501
- 2θ 16.6, rel. 424
- 2θ 27.6, rel. 387
- 2θ 26.8, rel. 384
- 2θ 33.6, rel. 324
- 2θ 34.2, rel. 222
- 2θ 33.4, rel. 200
- 2θ 19.2, rel. 198
- 2θ 57.7, rel. 176

=====

Structure and calculated PXRD pattern of AsHIr (DFT lattice parameters and positions (PBE); Cu Kα (λ = 1.5418 Å)).
No peak broadening, texture or thermal motion is included.

Structural model:
```
AsHIr
1.0
4.609 0.000 0.000
0.000 4.850 0.000
0.000 0.000 7.029
As H Ir
4 4 4
Direct
0.000 0.041 0.000
0.000 0.542 0.500
0.500 0.458 0.000
0.500 0.959 0.500
0.000 0.062 0.405
0.000 0.560 0.906
0.500 0.440 0.406
0.500 0.938 0.905
0.000 0.056 0.633
0.000 0.555 0.133
0.500 0.445 0.633
0.500 0.944 0.133
```

Main lines, most intense first (10 to 80 degrees two-theta):
- 2θ 29.6, rel. 1000
- 2θ 47.4, rel. 846
- 2θ 25.3, rel. 735
- 2θ 39.1, rel. 447
- 2θ 37.1, rel. 328
- 2θ 47.2, rel. 282
- 2θ 42.1, rel. 262
- 2θ 45.4, rel. 237
- 2θ 55.0, rel. 211
- 2θ 76.7, rel. 206
- 2θ 73.0, rel. 204
- 2θ 49.8, rel. 190

=====

Structure and calculated PXRD pattern of SrAsHIr (DFT lattice parameters and positions (PBE); Cu Kα (λ = 1.5418 Å)).
No peak broadening, texture or thermal motion is included.

Structural model:
```
SrAsHIr
1.0
4.067 0.000 0.000
-2.034 3.522 0.000
0.000 0.000 10.620
Sr As H Ir
2 2 2 2
Direct
0.333 0.667 0.000
0.667 0.333 0.500
0.333 0.667 0.697
0.667 0.333 0.197
0.000 0.000 0.421
0.000 0.000 0.921
0.000 0.000 0.263
0.000 0.000 0.763
```

Main lines, most intense first (10 to 80 degrees two-theta):
- 2θ 30.5, rel. 1000
- 2θ 44.6, rel. 523
- 2θ 16.7, rel. 413
- 2θ 57.0, rel. 325
- 2θ 36.0, rel. 287
- 2θ 58.3, rel. 253
- 2θ 33.8, rel. 242
- 2θ 42.6, rel. 237
- 2θ 26.7, rel. 233
- 2θ 25.3, rel. 212
- 2θ 54.9, rel. 194
- 2θ 47.9, rel. 173

=====

Structure and calculated PXRD pattern of K4AsH (DFT lattice parameters and positions (PBE); Cu Kα (λ = 1.5418 Å)).
No peak broadening, texture or thermal motion is included.

Structural model:
```
K4AsH
1.0
4.963 -8.006 0.000
4.963 8.006 0.000
-4.521 0.000 5.634
K As H
8 2 2
Direct
0.064 0.655 0.878
0.238 0.302 0.725
0.302 0.238 0.225
0.345 0.936 0.622
0.655 0.064 0.378
0.698 0.762 0.775
0.762 0.698 0.275
0.936 0.345 0.122
0.369 0.631 0.250
0.631 0.369 0.750
0.082 0.918 0.750
0.918 0.082 0.250
```

Main lines, most intense first (10 to 80 degrees two-theta):
- 2θ 13.5, rel. 1000
- 2θ 28.1, rel. 931
- 2θ 33.6, rel. 788
- 2θ 27.3, rel. 771
- 2θ 19.3, rel. 741
- 2θ 12.7, rel. 648
- 2θ 32.2, rel. 644
- 2θ 37.2, rel. 600
- 2θ 26.6, rel. 595
- 2θ 28.7, rel. 524
- 2θ 33.4, rel. 511
- 2θ 21.1, rel. 486

=====

Structure and calculated PXRD pattern of KMgAsH12O10 (DFT lattice parameters and positions (PBE); Cu Kα (λ = 1.5418 Å)).
No peak broadening, texture or thermal motion is included.

Structural model:
```
KMgAsH12O10
1.0
7.267 0.000 0.000
0.000 6.295 0.000
0.000 0.000 11.133
K Mg As H O
2 2 2 24 20
Direct
0.000 0.102 0.000
0.500 0.898 0.500
0.000 0.146 0.325
0.500 0.854 0.825
0.000 0.494 0.718
0.500 0.506 0.218
0.102 0.809 0.471
0.112 0.497 0.196
0.180 0.888 0.696
0.183 0.657 0.911
0.194 0.296 0.526
0.246 0.870 0.204
0.254 0.130 0.704
0.306 0.704 0.026
0.317 0.343 0.411
0.320 0.112 0.196
0.388 0.503 0.696
0.398 0.191 0.971
0.602 0.191 0.971
0.612 0.503 0.696
0.680 0.112 0.196
0.683 0.343 0.411
0.694 0.704 0.026
0.746 0.130 0.704
0.754 0.870 0.204
0.806 0.296 0.526
0.817 0.657 0.911
0.820 0.888 0.696
0.888 0.497 0.196
0.898 0.809 0.471
0.000 0.406 0.208
0.000 0.500 0.873
0.000 0.750 0.661
0.000 0.845 0.417
0.195 0.367 0.666
0.206 0.024 0.212
0.217 0.246 0.440
0.283 0.754 0.940
0.294 0.976 0.712
0.305 0.633 0.166
0.500 0.155 0.917
0.500 0.250 0.161
0.500 0.500 0.373
0.500 0.594 0.708
0.695 0.633 0.166
0.706 0.976 0.712
0.717 0.754 0.940
0.783 0.246 0.440
0.794 0.024 0.212
0.805 0.367 0.666
```

Main lines, most intense first (10 to 80 degrees two-theta):
- 2θ 20.3, rel. 1000
- 2θ 32.7, rel. 688
- 2θ 21.3, rel. 399
- 2θ 29.5, rel. 359
- 2θ 15.9, rel. 290
- 2θ 50.2, rel. 273
- 2θ 27.0, rel. 261
- 2θ 14.6, rel. 239
- 2θ 32.2, rel. 235
- 2θ 24.5, rel. 180
- 2θ 32.0, rel. 161
- 2θ 57.7, rel. 157

=====

Structure and calculated PXRD pattern of KAs4H3O12 (DFT lattice parameters and positions (PBE); Cu Kα (λ = 1.5418 Å)).
No peak broadening, texture or thermal motion is included.

Structural model:
```
KAs4H3O12
1.0
5.260 0.000 0.000
-0.667 7.100 0.000
-0.769 -3.616 6.919
K As H O
1 4 3 12
Direct
0.000 0.000 0.000
0.146 0.356 0.696
0.393 0.681 0.570
0.587 0.299 0.438
0.831 0.625 0.317
0.486 0.046 0.709
0.495 0.934 0.294
0.974 0.510 0.017
0.095 0.346 0.899
0.101 0.772 0.492
0.219 0.622 0.746
0.299 0.403 0.380
0.412 0.229 0.615
0.479 0.038 0.243
0.500 0.944 0.762
0.569 0.754 0.391
0.685 0.579 0.626
0.762 0.358 0.259
0.878 0.640 0.110
0.881 0.210 0.512
```

Main lines, most intense first (10 to 80 degrees two-theta):
- 2θ 12.8, rel. 1000
- 2θ 23.0, rel. 799
- 2θ 14.1, rel. 374
- 2θ 27.6, rel. 332
- 2θ 25.1, rel. 326
- 2θ 26.2, rel. 273
- 2θ 35.4, rel. 186
- 2θ 22.1, rel. 182
- 2θ 39.4, rel. 159
- 2θ 43.1, rel. 128
- 2θ 14.0, rel. 126
- 2θ 37.1, rel. 123